Structure and calculated XRD peak list of PmLu6 (a crystal structure in Alexandria, relaxed with GGA-PBE; a wavelength of 1.5418 Å).

Most intense lines, 15° ≤ 2θ ≤ 90°, sorted by position:
5.405 Å, rel. 30.3
3.822 Å, rel. 41.8
3.121 Å, rel. 100.0
2.207 Å, rel. 42.0
2.043 Å, rel. 61.3
1.911 Å, rel. 36.2
1.351 Å, rel. 23.4
1.240 Å, rel. 18.3

Cell and atoms:
```
data_PmLu6
_cell_length_a 6.6199
_cell_length_b 6.6199
_cell_length_c 6.6199
_cell_angle_alpha 109.47
_cell_angle_beta 109.47
_cell_angle_gamma 109.47
_space_group_name_H-M_alt 'P 1'
_space_group_IT_number 1
_space_group_name_Hall 'P 1'
loop_
_atom_site_label
_atom_site_type_symbol
_atom_site_fract_x
_atom_site_fract_y
_atom_site_fract_z
Pm1 Pm 0.0000 0.0000 0.0000
Lu1 Lu 0.2500 0.5000 0.7500
Lu2 Lu 0.2500 0.7500 0.5000
Lu3 Lu 0.5000 0.2500 0.7500
Lu4 Lu 0.5000 0.7500 0.2500
Lu5 Lu 0.7500 0.2500 0.5000
Lu6 Lu 0.7500 0.5000 0.2500
```